Structure and simulated XRD peak list of BaHo2P4 (a crystal structure in OQMD, relaxed with GGA-PBE; a wavelength of 1.5418 Å).
No peak broadening, texture or thermal motion is included.

Largest 10 diffraction maxima, by angle, 2θ from 10° to 80°:
- 5.063 Å, 2θ 17.52, I 20, (1 1 1)
- 4.276 Å, 2θ 20.77, I 63, (1 1 3)
- 3.409 Å, 2θ 26.14, I 100, (1 1 5)
- 2.890 Å, 2θ 30.94, I 45, (1 3 3)
- 2.824 Å, 2θ 31.69, I 19, (0 0 8)
- 2.772 Å, 2θ 32.29, I 34, (0 4 0)
- 2.598 Å, 2θ 34.53, I 39, (2 2 0)
- 2.573 Å, 2θ 34.88, I 44, (1 3 5)
- 1.978 Å, 2θ 45.87, I 20, (0 4 8)
- 1.911 Å, 2θ 47.57, I 56, (2 2 8)

Crystal structure
```
data_BaHo2P4
_space_group_name_H-M_alt 'F d d d'
_space_group_IT_number 70
_cell_length_a 5.8809
_cell_length_b 11.0894
_cell_length_c 22.5882
_cell_angle_alpha 90.00
_cell_angle_beta 90.00
_cell_angle_gamma 90.00
loop_
_space_group_symop_operation_xyz
'x,y,z'
'-x,-y,-z'
'-x+1/4,-y+1/4,z'
'x+1/4,y+1/4,-z'
'x,-y+1/4,-z+1/4'
'-x,y+1/4,z+1/4'
'-x+1/4,y,-z+1/4'
'x+1/4,-y,z+1/4'
'x,y+1/2,z+1/2'
'-x,-y+1/2,-z+1/2'
'-x+1/4,-y+3/4,z+1/2'
'x+1/4,y+3/4,-z+1/2'
'x,-y+3/4,-z+3/4'
'-x,y+3/4,z+3/4'
'-x+1/4,y+1/2,-z+3/4'
'x+1/4,-y+1/2,z+3/4'
'x+1/2,y,z+1/2'
'-x+1/2,-y,-z+1/2'
'-x+3/4,-y+1/4,z+1/2'
'x+3/4,y+1/4,-z+1/2'
'x+1/2,-y+1/4,-z+3/4'
'-x+1/2,y+1/4,z+3/4'
'-x+3/4,y,-z+3/4'
'x+3/4,-y,z+3/4'
'x+1/2,y+1/2,z'
'-x+1/2,-y+1/2,-z'
'-x+3/4,-y+3/4,z'
'x+3/4,y+3/4,-z'
'x+1/2,-y+3/4,-z+1/4'
'-x+1/2,y+3/4,z+1/4'
'-x+3/4,y+1/2,-z+1/4'
'x+3/4,-y+1/2,z+1/4'
loop_
_atom_site_label
_atom_site_fract_x
_atom_site_fract_y
_atom_site_fract_z
Ba1 0.1250 0.1250 0.1250
Ho1 0.1250 0.1250 0.5048
P1 0.0462 0.3220 0.5771
```

Structure and simulated XRD peak list of BaHoTlTe3 (a crystal structure in OQMD, relaxed with GGA-PBE; a wavelength of 1.5418 Å).
No peak broadening, texture or thermal motion is included.

Largest 10 diffraction maxima, by angle, 2θ from 10° to 80°:
- 7.677 Å, 2θ 11.53, I 29, (0 2 0)
- 3.297 Å, 2θ 27.04, I 61, (1 3 1)
- 3.000 Å, 2θ 29.79, I 52, (0 0 4)
- 2.977 Å, 2θ 30.01, I 100, (1 3 2)
- 2.603 Å, 2θ 34.45, I 23, (1 3 3)
- 2.353 Å, 2θ 38.25, I 42, (0 6 2)
- 2.310 Å, 2θ 38.99, I 28, (2 0 0)
- 1.966 Å, 2θ 46.17, I 19, (1 3 5)
- 1.830 Å, 2θ 49.83, I 28, (2 0 4)
- 1.576 Å, 2θ 58.59, I 17, (0 6 6)

Crystal structure
```
data_BaHoTlTe3
_space_group_name_H-M_alt 'C m c m'
_space_group_IT_number 63
_space_group_name_Hall '-C 2c 2'
_cell_length_a 4.6199
_cell_length_b 15.3531
_cell_length_c 11.9984
_cell_angle_alpha 90.00
_cell_angle_beta 90.00
_cell_angle_gamma 90.00
loop_
_atom_site_label
_atom_site_fract_x
_atom_site_fract_y
_atom_site_fract_z
Ba1 0.0000 0.2388 0.2500
Ho1 0.0000 0.0000 0.0000
Tl1 0.0000 0.4628 0.7500
Te1 0.0000 0.0935 0.7500
Te2 0.0000 0.3587 0.5227
```

Structure and simulated XRD peak list of Ba6Pr3I19 (a crystal structure in OQMD, relaxed with GGA-PBE; a wavelength of 1.5418 Å).
No peak broadening, texture or thermal motion is included.

Largest 10 diffraction maxima, by angle, 2θ from 10° to 80°:
- 3.499 Å, 2θ 25.45, I 34, (1 1 6)
- 3.333 Å, 2θ 26.75, I 34, (3 3 0)
- 3.290 Å, 2θ 27.11, I 40, (2 2 5)
- 3.244 Å, 2θ 27.50, I 34, (3 3 -2)
- 3.135 Å, 2θ 28.47, I 45, (5 1 0)
- 2.988 Å, 2θ 29.90, I 26, (5 1 -3)
- 2.912 Å, 2θ 30.70, I 27, (3 1 6)
- 2.838 Å, 2θ 31.52, I 100, (4 2 4)
- 2.763 Å, 2θ 32.40, I 26, (3 3 -5)
- 2.007 Å, 2θ 45.17, I 28, (2 6 2)

Crystal structure
```
data_Ba6Pr3I19
_space_group_name_H-M_alt 'C 1 2/c 1'
_space_group_IT_number 15
_cell_length_a 16.2247
_cell_length_b 12.7047
_cell_length_c 22.9445
_cell_angle_alpha 90.00
_cell_angle_beta 94.99
_cell_angle_gamma 90.00
loop_
_space_group_symop_operation_xyz
'x,y,z'
'-x,-y,-z'
'-x,y,-z+1/2'
'x,-y,z+1/2'
'x+1/2,y+1/2,z'
'-x+1/2,-y+1/2,-z'
'-x+1/2,y+1/2,-z+1/2'
'x+1/2,-y+1/2,z+1/2'
loop_
_atom_site_label
_atom_site_fract_x
_atom_site_fract_y
_atom_site_fract_z
Ba1 0.0298 0.1162 0.3951
Ba2 0.1603 0.4271 0.9621
Ba3 0.1823 0.3988 0.2160
Pr1 0.0000 0.2460 0.7500
Pr2 0.1191 0.2456 0.6249
I1 0.0000 0.2448 0.2500
I2 0.0069 0.4512 0.6586
I3 0.0416 0.3436 0.4960
I4 0.0747 0.1696 0.8837
I5 0.1121 0.0423 0.7144
I6 0.1170 0.0429 0.5349
I7 0.1734 0.2441 0.0859
I8 0.1890 0.3497 0.3668
I9 0.1934 0.3293 0.7562
I10 0.2438 0.4450 0.5984
```

Structure and simulated XRD peak list of BaUI6 (a crystal structure in OQMD, relaxed with GGA-PBE; a wavelength of 1.5418 Å).
No peak broadening, texture or thermal motion is included.

Largest 10 diffraction maxima, by angle, 2θ from 10° to 80°:
- 7.549 Å, 2θ 11.72, I 52, (0 0 2)
- 7.002 Å, 2θ 12.64, I 29, (1 1 -1)
- 4.144 Å, 2θ 21.44, I 26, (2 0 0)
- 3.401 Å, 2θ 26.20, I 100, (1 3 -3)
- 3.346 Å, 2θ 26.64, I 49, (2 0 2)
- 2.580 Å, 2θ 34.77, I 19, (1 3 -5)
- 2.435 Å, 2θ 36.91, I 50, (0 6 0)
- 2.379 Å, 2θ 37.82, I 23, (2 0 -6)
- 2.336 Å, 2θ 38.54, I 43, (1 3 5)
- 1.967 Å, 2θ 46.15, I 19, (2 6 2)

Crystal structure
```
data_BaUI6
_space_group_name_H-M_alt 'C 1 c 1'
_space_group_IT_number 9
_cell_length_a 8.4521
_cell_length_b 14.5866
_cell_length_c 15.4331
_cell_angle_alpha 90.00
_cell_angle_beta 101.95
_cell_angle_gamma 90.00
loop_
_space_group_symop_operation_xyz
'x,y,z'
'x,-y,z+1/2'
'x+1/2,y+1/2,z'
'x+1/2,-y+1/2,z+1/2'
loop_
_atom_site_label
_atom_site_fract_x
_atom_site_fract_y
_atom_site_fract_z
Ba1 0.0000 0.0809 0.0000
U1 0.0019 0.4135 0.0042
I1 0.0975 0.2689 0.8831
I2 0.1006 0.4395 0.3869
I3 0.1640 0.0913 0.3890
I4 0.3400 0.4154 0.1196
I5 0.3944 0.0583 0.1203
I6 0.4134 0.2334 0.6248
```

> What is the formula in the third record?

Ba6Pr3I19

Copy entry 1 word for word.
Structure and simulated XRD peak list of BaHo2P4 (a crystal structure in OQMD, relaxed with GGA-PBE; a wavelength of 1.5418 Å).
No peak broadening, texture or thermal motion is included.

Largest 10 diffraction maxima, by angle, 2θ from 10° to 80°:
- 5.063 Å, 2θ 17.52, I 20, (1 1 1)
- 4.276 Å, 2θ 20.77, I 63, (1 1 3)
- 3.409 Å, 2θ 26.14, I 100, (1 1 5)
- 2.890 Å, 2θ 30.94, I 45, (1 3 3)
- 2.824 Å, 2θ 31.69, I 19, (0 0 8)
- 2.772 Å, 2θ 32.29, I 34, (0 4 0)
- 2.598 Å, 2θ 34.53, I 39, (2 2 0)
- 2.573 Å, 2θ 34.88, I 44, (1 3 5)
- 1.978 Å, 2θ 45.87, I 20, (0 4 8)
- 1.911 Å, 2θ 47.57, I 56, (2 2 8)

Crystal structure
```
data_BaHo2P4
_space_group_name_H-M_alt 'F d d d'
_space_group_IT_number 70
_cell_length_a 5.8809
_cell_length_b 11.0894
_cell_length_c 22.5882
_cell_angle_alpha 90.00
_cell_angle_beta 90.00
_cell_angle_gamma 90.00
loop_
_space_group_symop_operation_xyz
'x,y,z'
'-x,-y,-z'
'-x+1/4,-y+1/4,z'
'x+1/4,y+1/4,-z'
'x,-y+1/4,-z+1/4'
'-x,y+1/4,z+1/4'
'-x+1/4,y,-z+1/4'
'x+1/4,-y,z+1/4'
'x,y+1/2,z+1/2'
'-x,-y+1/2,-z+1/2'
'-x+1/4,-y+3/4,z+1/2'
'x+1/4,y+3/4,-z+1/2'
'x,-y+3/4,-z+3/4'
'-x,y+3/4,z+3/4'
'-x+1/4,y+1/2,-z+3/4'
'x+1/4,-y+1/2,z+3/4'
'x+1/2,y,z+1/2'
'-x+1/2,-y,-z+1/2'
'-x+3/4,-y+1/4,z+1/2'
'x+3/4,y+1/4,-z+1/2'
'x+1/2,-y+1/4,-z+3/4'
'-x+1/2,y+1/4,z+3/4'
'-x+3/4,y,-z+3/4'
'x+3/4,-y,z+3/4'
'x+1/2,y+1/2,z'
'-x+1/2,-y+1/2,-z'
'-x+3/4,-y+3/4,z'
'x+3/4,y+3/4,-z'
'x+1/2,-y+3/4,-z+1/4'
'-x+1/2,y+3/4,z+1/4'
'-x+3/4,y+1/2,-z+1/4'
'x+3/4,-y+1/2,z+1/4'
loop_
_atom_site_label
_atom_site_fract_x
_atom_site_fract_y
_atom_site_fract_z
Ba1 0.1250 0.1250 0.1250
Ho1 0.1250 0.1250 0.5048
P1 0.0462 0.3220 0.5771
```

> Which formula does entry 3 have?

Ba6Pr3I19

What did the second record say?
Structure and simulated XRD peak list of BaHoTlTe3 (a crystal structure in OQMD, relaxed with GGA-PBE; a wavelength of 1.5418 Å).
No peak broadening, texture or thermal motion is included.

Largest 10 diffraction maxima, by angle, 2θ from 10° to 80°:
- 7.677 Å, 2θ 11.53, I 29, (0 2 0)
- 3.297 Å, 2θ 27.04, I 61, (1 3 1)
- 3.000 Å, 2θ 29.79, I 52, (0 0 4)
- 2.977 Å, 2θ 30.01, I 100, (1 3 2)
- 2.603 Å, 2θ 34.45, I 23, (1 3 3)
- 2.353 Å, 2θ 38.25, I 42, (0 6 2)
- 2.310 Å, 2θ 38.99, I 28, (2 0 0)
- 1.966 Å, 2θ 46.17, I 19, (1 3 5)
- 1.830 Å, 2θ 49.83, I 28, (2 0 4)
- 1.576 Å, 2θ 58.59, I 17, (0 6 6)

Crystal structure
```
data_BaHoTlTe3
_space_group_name_H-M_alt 'C m c m'
_space_group_IT_number 63
_space_group_name_Hall '-C 2c 2'
_cell_length_a 4.6199
_cell_length_b 15.3531
_cell_length_c 11.9984
_cell_angle_alpha 90.00
_cell_angle_beta 90.00
_cell_angle_gamma 90.00
loop_
_atom_site_label
_atom_site_fract_x
_atom_site_fract_y
_atom_site_fract_z
Ba1 0.0000 0.2388 0.2500
Ho1 0.0000 0.0000 0.0000
Tl1 0.0000 0.4628 0.7500
Te1 0.0000 0.0935 0.7500
Te2 0.0000 0.3587 0.5227
```